The following is a computed powder XRD pattern of NaIr2Se4. It was derived from a cell relaxed with GGA-PBE, using a wavelength of 1.5418 Å.
No peak broadening, texture or thermal motion is included.

Main lines, by angle (10 to 90 degrees two-theta):
(1 1 1), 2θ 14.03, I = 100
(3 1 1), 2θ 27.04, I = 40
(0 0 4), 2θ 32.65, I = 24
(4 0 0), 2θ 32.81, I = 49
(1 1 5), 2θ 42.85, I = 13
(5 1 1), 2θ 43.04, I = 26
(4 0 4), 2θ 46.97, I = 37
(4 4 0), 2θ 47.08, I = 19
(3 5 1), 2θ 49.34, I = 15
(4 4 4), 2θ 58.47, I = 15

Atomic structure:
```
data_NaIr2Se4
_cell_length_a 10.9156
_cell_length_b 10.9227
_cell_length_c 10.9692
_cell_angle_alpha 90.00
_cell_angle_beta 90.00
_cell_angle_gamma 90.00
_space_group_name_H-M_alt 'F d d d'
_space_group_IT_number 70
loop_
_space_group_symop_operation_xyz
'x,y,z'
'-x,-y,-z'
'-x+1/4,-y+1/4,z'
'x+1/4,y+1/4,-z'
'x,-y+1/4,-z+1/4'
'-x,y+1/4,z+1/4'
'-x+1/4,y,-z+1/4'
'x+1/4,-y,z+1/4'
'x,y+1/2,z+1/2'
'-x,-y+1/2,-z+1/2'
'-x+1/4,-y+3/4,z+1/2'
'x+1/4,y+3/4,-z+1/2'
'x,-y+3/4,-z+3/4'
'-x,y+3/4,z+3/4'
'-x+1/4,y+1/2,-z+3/4'
'x+1/4,-y+1/2,z+3/4'
'x+1/2,y,z+1/2'
'-x+1/2,-y,-z+1/2'
'-x+3/4,-y+1/4,z+1/2'
'x+3/4,y+1/4,-z+1/2'
'x+1/2,-y+1/4,-z+3/4'
'-x+1/2,y+1/4,z+3/4'
'-x+3/4,y,-z+3/4'
'x+3/4,-y,z+3/4'
'x+1/2,y+1/2,z'
'-x+1/2,-y+1/2,-z'
'-x+3/4,-y+3/4,z'
'x+3/4,y+3/4,-z'
'x+1/2,-y+3/4,-z+1/4'
'-x+1/2,y+3/4,z+1/4'
'-x+3/4,y+1/2,-z+1/4'
'x+3/4,-y+1/2,z+1/4'
loop_
_atom_site_label
_atom_site_type_symbol
_atom_site_fract_x
_atom_site_fract_y
_atom_site_fract_z
Na1 Na 0.1250 0.1250 0.1250
Ir1 Ir 0.0000 0.0000 0.5000
Se1 Se 0.0201 0.0202 0.7288
```